For Ba5Ga4Se10, a PBE-relaxed structure gives the computed powder XRD pattern in this record (Cu Kα, 1.54184 Å).
Lines closer than 0.1° are merged.

Atomic structure:
```
Ba5Ga4Se10
1.0
0.000 7.090 6.271
6.379 0.000 6.271
6.379 7.090 0.000
Ba Ga Se
5 4 10
Direct
0.000 0.000 0.000
0.397 0.397 0.103
0.502 0.793 0.498
0.793 0.502 0.207
0.897 0.897 0.603
0.188 0.383 0.812
0.383 0.188 0.617
0.406 0.908 0.092
0.908 0.406 0.594
0.153 0.174 0.128
0.157 0.649 0.843
0.174 0.153 0.545
0.349 0.657 0.343
0.455 0.872 0.826
0.649 0.157 0.351
0.657 0.349 0.651
0.661 0.953 0.047
0.872 0.455 0.847
0.953 0.661 0.339
```

Largest 8 diffraction maxima, low angle first, 2θ from 15° to 90°:
23.5 deg, I 24.7; 29.1 deg, I 81.0; 29.4 deg, I 100.0; 30.7 deg, I 20.3; 31.5 deg, I 50.7; 31.8 deg, I 40.8; 32.2 deg, I 45.1; 48.1 deg, I 22.6

=====

For Li2Tb3Pd5, a PBE-relaxed structure gives the computed powder XRD pattern in this record (Cu Kα, 1.54184 Å).
Lines closer than 0.1° are merged.

Atomic structure:
```
Li2Tb3Pd5
1.0
9.921 0.000 0.000
0.000 9.921 0.000
0.000 0.000 3.703
Li Tb Pd
4 6 10
Direct
0.120 0.380 0.000
0.380 0.880 0.000
0.620 0.120 0.000
0.880 0.620 0.000
0.000 0.000 0.000
0.175 0.675 0.000
0.325 0.175 0.000
0.500 0.500 0.000
0.675 0.825 0.000
0.825 0.325 0.000
0.000 0.500 0.500
0.071 0.215 0.500
0.215 0.929 0.500
0.285 0.429 0.500
0.429 0.715 0.500
0.500 0.000 0.500
0.571 0.285 0.500
0.715 0.571 0.500
0.785 0.071 0.500
0.929 0.785 0.500
```

Largest 8 diffraction maxima, low angle first, 2θ from 15° to 90°:
31.5 deg, I 70.6; 35.2 deg, I 35.8; 37.4 deg, I 55.5; 37.6 deg, I 100.0; 40.7 deg, I 29.8; 40.9 deg, I 20.9; 49.2 deg, I 22.2; 63.4 deg, I 23.3

=====

For Zr2ScRh2, a PBE-relaxed structure gives the computed powder XRD pattern in this record (Cu Kα, 1.54184 Å).
Lines closer than 0.1° are merged.

Atomic structure:
```
Zr2ScRh2
1.0
3.390 0.000 0.000
0.000 4.658 0.000
-1.692 0.000 11.742
Zr Sc Rh
4 2 4
Direct
0.050 0.250 0.099
0.243 0.250 0.486
0.757 0.750 0.514
0.950 0.750 0.901
0.144 0.750 0.288
0.856 0.250 0.712
0.356 0.750 0.713
0.454 0.250 0.907
0.546 0.750 0.093
0.644 0.250 0.287
```

Largest 8 diffraction maxima, low angle first, 2θ from 15° to 90°:
38.0 deg, I 100.0; 38.3 deg, I 22.5; 38.7 deg, I 24.5; 54.1 deg, I 9.0; 55.6 deg, I 14.8; 69.1 deg, I 13.0; 69.5 deg, I 16.0; 81.3 deg, I 9.5